The following is a theoretical powder diffractogram of ReW5. It was derived from DFT lattice parameters and positions (PBE), using Cu Kα, 1.54184 Å.

Peak list (10 most intense, 15 to 90 degrees two-theta, sorted by position)
- hkl 1 1 0, d = 2.602 Å, 2θ 34.46, rel. 24
- hkl 1 0 3, d = 2.399 Å, 2θ 37.48, rel. 49
- hkl 1 1 2, d = 2.220 Å, 2θ 40.65, rel. 100
- hkl 2 0 1, d = 2.178 Å, 2θ 41.45, rel. 70
- hkl 0 0 4, d = 2.126 Å, 2θ 42.53, rel. 24
- hkl 2 1 3, d = 1.460 Å, 2θ 63.74, rel. 19
- hkl 3 0 2, d = 1.417 Å, 2θ 65.94, rel. 26
- hkl 2 0 5, d = 1.357 Å, 2θ 69.21, rel. 30
- hkl 2 2 0, d = 1.301 Å, 2θ 72.67, rel. 25
- hkl 2 2 4, d = 1.110 Å, 2θ 88.00, rel. 19

Structure:
```
data_ReW5
_chemical_formula_sum 'Re2 W10'
_symmetry_space_group_name_H-M 'P 63/m m c'
_symmetry_Int_Tables_number 194
_symmetry_space_group_name_Hall '-P 6c 2c'
_cell_length_a 5.2048
_cell_length_b 5.2048
_cell_length_c 8.5025
_cell_angle_alpha 90.00
_cell_angle_beta 90.00
_cell_angle_gamma 120.00
loop_
_atom_site_label
_atom_site_fract_x
_atom_site_fract_y
_atom_site_fract_z
_atom_site_occupancy
Re1 0.0000 0.0000 0.0000 1
W1 0.1699 0.3398 0.2500 1
W2 0.3333 0.6667 0.5491 1
```



The following is a theoretical powder diffractogram of SmAl3Zn3. It was derived from DFT lattice parameters and positions (PBE), using Cu Kα, 1.54184 Å.

Peak list (10 most intense, 15 to 90 degrees two-theta, sorted by position)
- hkl 1 0 2, d = 3.526 Å, 2θ 25.26, rel. 89
- hkl 1 0 3, d = 3.222 Å, 2θ 27.69, rel. 31
- hkl 1 0 4, d = 2.904 Å, 2θ 30.79, rel. 61
- hkl 1 0 6, d = 2.342 Å, 2θ 38.43, rel. 73
- hkl 1 1 0, d = 2.218 Å, 2θ 40.67, rel. 100
- hkl 2 0 2, d = 1.878 Å, 2θ 48.47, rel. 15
- hkl 2 0 6, d = 1.611 Å, 2θ 57.19, rel. 26
- hkl 1 1 8, d = 1.568 Å, 2θ 58.90, rel. 31
- hkl 2 1 6, d = 1.304 Å, 2θ 72.52, rel. 24
- hkl 2 2 0, d = 1.109 Å, 2θ 88.06, rel. 19

Structure:
```
data_SmAl3Zn3
_chemical_formula_sum 'Sm2 Al6 Zn6'
_symmetry_space_group_name_H-M 'P 63/m m c'
_symmetry_Int_Tables_number 194
_symmetry_space_group_name_Hall '-P 6c 2c'
_cell_length_a 4.4377
_cell_length_b 4.4377
_cell_length_c 17.7275
_cell_angle_alpha 90.00
_cell_angle_beta 90.00
_cell_angle_gamma 120.00
loop_
_atom_site_label
_atom_site_fract_x
_atom_site_fract_y
_atom_site_fract_z
_atom_site_occupancy
Sm1 0.0000 0.0000 0.0000 1
Al1 0.3333 0.6667 0.1092 1
Al2 0.3333 0.6667 0.7500 1
Zn1 0.3333 0.6667 0.2500 1
Zn2 0.3333 0.6667 0.6007 1
```



The following is a theoretical powder diffractogram of Ag3PS4. It was derived from DFT lattice parameters and positions (PBE), using Cu Kα, 1.54184 Å.

Peak list (10 most intense, 15 to 90 degrees two-theta, sorted by position)
- hkl 2 1 0, d = 3.116 Å, 2θ 28.65, rel. 100
- hkl 2 1 1, d = 2.845 Å, 2θ 31.45, rel. 37
- hkl 3 1 0, d = 2.204 Å, 2θ 40.96, rel. 15
- hkl 2 2 2, d = 2.012 Å, 2θ 45.07, rel. 21
- hkl 3 2 0, d = 1.933 Å, 2θ 47.02, rel. 25
- hkl 3 2 1, d = 1.862 Å, 2θ 48.91, rel. 26
- hkl 4 0 0, d = 1.742 Å, 2θ 52.53, rel. 9
- hkl 4 2 1, d = 1.521 Å, 2θ 60.93, rel. 22
- hkl 5 2 0, d = 1.294 Å, 2θ 73.14, rel. 19
- hkl 5 3 2, d = 1.130 Å, 2θ 86.00, rel. 8

Structure:
```
data_Ag3PS4
_chemical_formula_sum 'Ag6 P2 S8'
_symmetry_space_group_name_H-M 'P -4 3 n'
_symmetry_Int_Tables_number 218
_symmetry_space_group_name_Hall 'P -4n 2 3'
_cell_length_a 6.968
_cell_length_b 6.968
_cell_length_c 6.968
_cell_angle_alpha 90.00
_cell_angle_beta 90.00
_cell_angle_gamma 90.00
loop_
_atom_site_label
_atom_site_fract_x
_atom_site_fract_y
_atom_site_fract_z
_atom_site_occupancy
Ag1 0.000 0.250 0.500 1
P1 0.000 0.000 0.000 1
S1 0.172 0.172 0.172 1
```



The following is a theoretical powder diffractogram of DyHo2Sn4Pd4. It was derived from DFT lattice parameters and positions (PBE), using Cu Kα, 1.54184 Å.

Peak list (10 most intense, 15 to 90 degrees two-theta, sorted by position)
- hkl 1 2 1, d = 2.775 Å, 2θ 32.26, rel. 100
- hkl 0 1 5, d = 2.727 Å, 2θ 32.84, rel. 27
- hkl 1 1 4, d = 2.630 Å, 2θ 34.09, rel. 77
- hkl 0 0 6, d = 2.446 Å, 2θ 36.74, rel. 36
- hkl 0 3 3, d = 2.200 Å, 2θ 41.03, rel. 26
- hkl 2 0 0, d = 2.194 Å, 2θ 41.14, rel. 41
- hkl 1 3 2, d = 2.061 Å, 2θ 43.92, rel. 14
- hkl 1 2 5, d = 2.036 Å, 2θ 44.50, rel. 32
- hkl 2 3 3, d = 1.554 Å, 2θ 59.50, rel. 17
- hkl 1 5 4, d = 1.308 Å, 2θ 72.20, rel. 16

Structure:
```
data_DyHo2Sn4Pd4
_chemical_formula_sum 'Dy2 Ho4 Sn8 Pd8'
_symmetry_space_group_name_H-M 'I m m m'
_symmetry_Int_Tables_number 71
_symmetry_space_group_name_Hall '-I 2 2'
_cell_length_a 4.388
_cell_length_b 7.390
_cell_length_c 14.672
_cell_angle_alpha 90.00
_cell_angle_beta 90.00
_cell_angle_gamma 90.00
loop_
_atom_site_label
_atom_site_fract_x
_atom_site_fract_y
_atom_site_fract_z
_atom_site_occupancy
Dy1 0.000 0.000 0.000 1
Ho1 0.000 0.500 0.129 1
Sn1 0.000 0.000 0.214 1
Sn2 0.000 0.198 0.500 1
Pd1 0.000 0.298 0.323 1
```



The following is a theoretical powder diffractogram of NbAg7S6. It was derived from DFT lattice parameters and positions (PBE), using Cu Kα, 1.54184 Å.

Peak list (10 most intense, 15 to 90 degrees two-theta, sorted by position)
- hkl 1 1 -1, d = 5.342 Å, 2θ 16.59, rel. 100
- hkl 1 1 0, d = 4.823 Å, 2θ 18.39, rel. 44
- hkl 1 1 -2, d = 4.770 Å, 2θ 18.60, rel. 54
- hkl 1 1 2, d = 3.023 Å, 2θ 29.55, rel. 51
- hkl 1 2 1, d = 2.847 Å, 2θ 31.42, rel. 68
- hkl 1 2 -3, d = 2.825 Å, 2θ 31.67, rel. 69
- hkl 0 0 4, d = 2.724 Å, 2θ 32.88, rel. 54
- hkl 2 2 -2, d = 2.671 Å, 2θ 33.55, rel. 62
- hkl 2 0 -6, d = 2.211 Å, 2θ 40.82, rel. 55
- hkl 2 3 -3, d = 2.031 Å, 2θ 44.62, rel. 54

Structure:
```
data_NbAg7S6
_chemical_formula_sum 'Nb2 Ag14 S12'
_symmetry_space_group_name_H-M 'P 1 c 1'
_symmetry_Int_Tables_number 7
_symmetry_space_group_name_Hall 'P -2yc'
_cell_length_a 7.785
_cell_length_b 7.345
_cell_length_c 13.263
_cell_angle_alpha 90.00
_cell_angle_beta 124.76
_cell_angle_gamma 90.00
loop_
_atom_site_label
_atom_site_fract_x
_atom_site_fract_y
_atom_site_fract_z
_atom_site_occupancy
Nb1 0.000 0.239 0.000 1
Ag1 0.120 0.128 0.421 1
Ag2 0.304 0.224 0.284 1
Ag3 0.314 0.488 0.961 1
Ag4 0.492 0.009 0.179 1
Ag5 0.598 0.405 0.716 1
Ag6 0.719 0.416 0.456 1
Ag7 0.918 0.414 0.202 1
S1 0.082 0.230 0.857 1
S2 0.117 0.024 0.619 1
S3 0.133 0.497 0.624 1
S4 0.514 0.226 0.520 1
S5 0.641 0.223 0.896 1
S6 0.750 0.258 0.286 1
```



The following is a theoretical powder diffractogram of Au6SO6. It was derived from DFT lattice parameters and positions (PBE), using Cu Kα, 1.54184 Å.

Peak list (10 most intense, 15 to 90 degrees two-theta, sorted by position)
- hkl 2 0 0, d = 4.621 Å, 2θ 19.21, rel. 21
- hkl 2 2 0, d = 3.267 Å, 2θ 27.29, rel. 27
- hkl 2 2 2, d = 2.668 Å, 2θ 33.59, rel. 100
- hkl 4 0 0, d = 2.310 Å, 2θ 38.98, rel. 63
- hkl 4 2 0, d = 2.066 Å, 2θ 43.81, rel. 14
- hkl 4 2 2, d = 1.886 Å, 2θ 48.24, rel. 14
- hkl 4 4 0, d = 1.634 Å, 2θ 56.31, rel. 41
- hkl 4 4 2, d = 1.540 Å, 2θ 60.07, rel. 7
- hkl 6 2 2, d = 1.393 Å, 2θ 67.19, rel. 45
- hkl 4 4 4, d = 1.334 Å, 2θ 70.61, rel. 13

Structure:
```
data_Au6SO6
_chemical_formula_sum 'Au24 S4 O24'
_symmetry_space_group_name_H-M 'F m -3 m'
_symmetry_Int_Tables_number 225
_symmetry_space_group_name_Hall '-F 4 2 3'
_cell_length_a 9.241
_cell_length_b 9.241
_cell_length_c 9.241
_cell_angle_alpha 90.00
_cell_angle_beta 90.00
_cell_angle_gamma 90.00
loop_
_atom_site_label
_atom_site_fract_x
_atom_site_fract_y
_atom_site_fract_z
_atom_site_occupancy
Au1 0.000 0.250 0.250 1
S1 0.000 0.000 0.000 1
O1 0.000 0.000 0.186 1
```



The following is a theoretical powder diffractogram of La2SmNi7Pt2. It was derived from DFT lattice parameters and positions (PBE), using Cu Kα, 1.54184 Å.

Peak list (10 most intense, 15 to 90 degrees two-theta, sorted by position)
- hkl 1 1 0, d = 2.559 Å, 2θ 35.06, rel. 58
- hkl 0 2 1, d = 2.208 Å, 2θ 40.87, rel. 15
- hkl 1 1 6, d = 2.192 Å, 2θ 41.19, rel. 100
- hkl 0 1 11, d = 2.052 Å, 2θ 44.14, rel. 15
- hkl 2 0 5, d = 2.032 Å, 2θ 44.59, rel. 17
- hkl 1 1 9, d = 1.898 Å, 2θ 47.93, rel. 19
- hkl 1 1 15, d = 1.414 Å, 2θ 66.05, rel. 17
- hkl 3 0 6, d = 1.395 Å, 2θ 67.07, rel. 23
- hkl 2 2 0, d = 1.280 Å, 2θ 74.09, rel. 18
- hkl 2 2 12, d = 1.096 Å, 2θ 89.43, rel. 17

Structure:
```
data_La2SmNi7Pt2
_chemical_formula_sum 'La6 Sm3 Ni21 Pt6'
_symmetry_space_group_name_H-M 'R -3 m'
_symmetry_Int_Tables_number 166
_symmetry_space_group_name_Hall '-R 3 2"'
_cell_length_a 5.1187
_cell_length_b 5.1187
_cell_length_c 25.4581
_cell_angle_alpha 90.00
_cell_angle_beta 90.00
_cell_angle_gamma 120.00
loop_
_atom_site_label
_atom_site_fract_x
_atom_site_fract_y
_atom_site_fract_z
_atom_site_occupancy
La1 0.0000 0.0000 0.1387 1
Sm1 0.0000 0.0000 0.0000 1
Ni1 0.0000 0.0000 0.5000 1
Ni2 0.0020 0.5010 0.0843 1
Pt1 0.0000 0.0000 0.3320 1
```



The following is a theoretical powder diffractogram of Dy2HoCd3CuAu2. It was derived from DFT lattice parameters and positions (PBE), using Cu Kα, 1.54184 Å.

Peak list (10 most intense, 15 to 90 degrees two-theta, sorted by position)
- hkl 1 3 1, d = 2.725 Å, 2θ 32.87, rel. 81
- hkl 1 4 0, d = 2.525 Å, 2θ 35.56, rel. 100
- hkl 0 6 0, d = 2.229 Å, 2θ 40.47, rel. 29
- hkl 1 4 2, d = 2.112 Å, 2θ 42.82, rel. 19
- hkl 2 0 0, d = 1.923 Å, 2θ 47.27, rel. 17
- hkl 1 5 3, d = 1.670 Å, 2θ 54.97, rel. 12
- hkl 2 4 2, d = 1.530 Å, 2θ 60.50, rel. 17
- hkl 2 6 0, d = 1.456 Å, 2θ 63.94, rel. 15
- hkl 1 7 3, d = 1.425 Å, 2θ 65.51, rel. 20
- hkl 1 9 1, d = 1.364 Å, 2θ 68.82, rel. 12

Structure:
```
data_Dy2HoCd3CuAu2
_chemical_formula_sum 'Dy4 Ho2 Cd6 Cu2 Au4'
_symmetry_space_group_name_H-M 'A m m 2'
_symmetry_Int_Tables_number 38
_symmetry_space_group_name_Hall 'A 2 -2'
_cell_length_a 3.846
_cell_length_b 13.365
_cell_length_c 7.726
_cell_angle_alpha 90.00
_cell_angle_beta 90.00
_cell_angle_gamma 90.00
loop_
_atom_site_label
_atom_site_fract_x
_atom_site_fract_y
_atom_site_fract_z
_atom_site_occupancy
Dy1 0.000 0.203 0.000 1
Ho1 0.000 0.000 0.390 1
Cd1 0.500 0.000 0.043 1
Cd2 0.500 0.123 0.674 1
Cu1 0.000 0.000 0.796 1
Au1 0.500 0.166 0.297 1
```



The following is a theoretical powder diffractogram of Lu4C7. It was derived from DFT lattice parameters and positions (PBE), using Cu Kα, 1.54184 Å.

Peak list (10 most intense, 15 to 90 degrees two-theta, sorted by position)
- hkl 1 2 0, d = 3.085 Å, 2θ 28.94, rel. 23
- hkl 1 2 -1, d = 3.053 Å, 2θ 29.26, rel. 29
- hkl 0 0 2, d = 3.024 Å, 2θ 29.54, rel. 27
- hkl 0 4 1, d = 2.949 Å, 2θ 30.31, rel. 100
- hkl 1 3 -1, d = 2.725 Å, 2θ 32.87, rel. 32
- hkl 1 1 1, d = 2.663 Å, 2θ 33.65, rel. 21
- hkl 1 1 -2, d = 2.601 Å, 2θ 34.48, rel. 33
- hkl 1 2 1, d = 2.520 Å, 2θ 35.62, rel. 39
- hkl 0 6 1, d = 2.110 Å, 2θ 42.86, rel. 16
- hkl 2 1 -1, d = 1.781 Å, 2θ 51.29, rel. 18

Structure:
```
data_Lu4C7
_chemical_formula_sum 'Lu8 C14'
_symmetry_space_group_name_H-M 'P 1 21/c 1'
_symmetry_Int_Tables_number 14
_symmetry_space_group_name_Hall '-P 2ybc'
_cell_length_a 3.595
_cell_length_b 13.508
_cell_length_c 6.268
_cell_angle_alpha 90.00
_cell_angle_beta 105.25
_cell_angle_gamma 90.00
loop_
_atom_site_label
_atom_site_fract_x
_atom_site_fract_y
_atom_site_fract_z
_atom_site_occupancy
Lu1 0.056 0.160 0.160 1
Lu2 0.365 0.054 0.740 1
C1 0.000 0.000 0.000 1
C2 0.266 0.604 0.049 1
C3 0.378 0.698 0.044 1
C4 0.461 0.214 0.923 1
```



The following is a theoretical powder diffractogram of KTe5W3. It was derived from DFT lattice parameters and positions (PBE), using Cu Kα, 1.54184 Å.

Peak list (10 most intense, 15 to 90 degrees two-theta, sorted by position)
- hkl 1 0 0, d = 5.148 Å, 2θ 17.22, rel. 34
- hkl 1 1 0, d = 2.972 Å, 2θ 30.06, rel. 30
- hkl 2 0 0, d = 2.574 Å, 2θ 34.85, rel. 18
- hkl 2 0 1, d = 2.463 Å, 2θ 36.48, rel. 62
- hkl 1 1 2, d = 2.432 Å, 2θ 36.96, rel. 38
- hkl 2 0 2, d = 2.199 Å, 2θ 41.04, rel. 100
- hkl 0 0 4, d = 2.116 Å, 2θ 42.73, rel. 23
- hkl 2 0 3, d = 1.902 Å, 2θ 47.83, rel. 25
- hkl 2 2 0, d = 1.486 Å, 2θ 62.49, rel. 23
- hkl 2 2 4, d = 1.216 Å, 2θ 78.67, rel. 23

Structure:
```
data_KTe5W3
_chemical_formula_sum 'K1 Te5 W3'
_symmetry_space_group_name_H-M 'P 6/m m m'
_symmetry_Int_Tables_number 191
_symmetry_space_group_name_Hall '-P 6 2'
_cell_length_a 5.9447
_cell_length_b 5.9447
_cell_length_c 8.4648
_cell_angle_alpha 90.00
_cell_angle_beta 90.00
_cell_angle_gamma 120.00
loop_
_atom_site_label
_atom_site_fract_x
_atom_site_fract_y
_atom_site_fract_z
_atom_site_occupancy
K1 0.0000 0.0000 0.0000 1
Te1 0.0000 0.0000 0.5000 1
Te2 0.3333 0.6667 0.2421 1
W1 0.0000 0.5000 0.5000 1
```